# Dy3B7Ru
Theoretical X-ray powder pattern, CuKα. Input: a structure optimized by DFT (PBE).
Lines closer than 0.1° are merged.

Atomic structure:
```
Dy3B7Ru
1.0
1.759 -7.872 0.000
1.759 7.872 0.000
0.000 0.000 9.331
Dy B Ru
6 14 2
direct
0.106 0.894 0.560 Dy
0.106 0.894 0.940 Dy
0.244 0.756 0.250 Dy
0.756 0.244 0.750 Dy
0.894 0.106 0.060 Dy
0.894 0.106 0.440 Dy
0.273 0.727 0.534 B
0.273 0.727 0.966 B
0.368 0.632 0.651 B
0.368 0.632 0.849 B
0.458 0.542 0.250 B
0.479 0.521 0.596 B
0.479 0.521 0.904 B
0.521 0.479 0.096 B
0.521 0.479 0.404 B
0.542 0.458 0.750 B
0.632 0.368 0.151 B
0.632 0.368 0.349 B
0.727 0.273 0.034 B
0.727 0.273 0.466 B
0.054 0.946 0.250 Ru
0.946 0.054 0.750 Ru
```

Principal peaks in the range 2θ from 5° to 70°, sorted by position:
2θ (°)  d (Å)  intensity
25.94  3.434  95
29.70  3.008  91
30.91  2.893  72
32.09  2.789  37
34.17  2.624  40
39.07  2.305  100
39.60  2.276  53
60.98  1.519  37

***

# Dy2ScB2Ru5
Theoretical X-ray powder pattern, CuKα. Input: a structure optimized by DFT (PBE).
Lines closer than 0.1° are merged.

Atomic structure:
```
Dy2ScB2Ru5
1.0
9.743 0.000 0.000
0.000 9.743 0.000
0.000 0.000 3.147
Dy Sc B Ru
4 2 4 10
direct
0.176 0.324 0.000 Dy
0.324 0.824 0.000 Dy
0.676 0.176 0.000 Dy
0.824 0.676 0.000 Dy
0.000 0.000 0.000 Sc
0.500 0.500 0.000 Sc
0.122 0.622 0.000 B
0.378 0.122 0.000 B
0.622 0.878 0.000 B
0.878 0.378 0.000 B
0.000 0.500 0.500 Ru
0.070 0.776 0.500 Ru
0.224 0.070 0.500 Ru
0.276 0.570 0.500 Ru
0.430 0.276 0.500 Ru
0.500 0.000 0.500 Ru
0.570 0.724 0.500 Ru
0.724 0.430 0.500 Ru
0.776 0.930 0.500 Ru
0.930 0.224 0.500 Ru
```

Principal peaks in the range 2θ from 5° to 70°, sorted by position:
2θ (°)  d (Å)  intensity
35.18  2.551  100
38.08  2.363  94
38.76  2.323  30
39.23  2.296  28
41.00  2.201  77
41.45  2.179  30
44.18  2.050  30
68.50  1.370  24

***

# Dy5Si2B8
Theoretical X-ray powder pattern, CuKα. Input: a structure optimized by DFT (PBE).
Lines closer than 0.1° are merged.

Atomic structure:
```
Dy5Si2B8
1.0
7.233 0.000 0.000
0.000 7.233 0.000
0.000 0.000 8.101
Dy Si B
10 4 16
direct
0.000 0.000 0.000 Dy
0.181 0.319 0.276 Dy
0.181 0.319 0.724 Dy
0.319 0.819 0.276 Dy
0.319 0.819 0.724 Dy
0.500 0.500 0.000 Dy
0.681 0.181 0.276 Dy
0.681 0.181 0.724 Dy
0.819 0.681 0.276 Dy
0.819 0.681 0.724 Dy
0.115 0.615 0.000 Si
0.385 0.115 0.000 Si
0.615 0.885 0.000 Si
0.885 0.385 0.000 Si
0.000 0.000 0.338 B
0.000 0.000 0.662 B
0.039 0.828 0.500 B
0.090 0.590 0.500 B
0.172 0.039 0.500 B
0.328 0.539 0.500 B
0.410 0.090 0.500 B
0.461 0.328 0.500 B
0.500 0.500 0.338 B
0.500 0.500 0.662 B
0.539 0.672 0.500 B
0.590 0.910 0.500 B
0.672 0.461 0.500 B
0.828 0.961 0.500 B
0.910 0.410 0.500 B
0.961 0.172 0.500 B
```

Principal peaks in the range 2θ from 5° to 70°, sorted by position:
2θ (°)  d (Å)  intensity
27.58  3.235  67
28.10  3.175  22
33.20  2.698  100
35.52  2.528  98
39.39  2.287  34
52.14  1.754  27
57.23  1.610  31
58.76  1.571  24

***

# TbDyB12
Theoretical X-ray powder pattern, CuKα. Input: a structure optimized by DFT (PBE).
Lines closer than 0.1° are merged.

Atomic structure:
```
TbDyB12
1.0
4.096 0.000 0.000
0.000 4.096 0.000
0.000 0.000 8.197
Tb Dy B
1 1 12
direct
0.000 0.000 0.000 Tb
0.000 0.000 0.500 Dy
0.199 0.500 0.250 B
0.199 0.500 0.750 B
0.500 0.199 0.250 B
0.500 0.199 0.750 B
0.500 0.500 0.099 B
0.500 0.500 0.401 B
0.500 0.500 0.599 B
0.500 0.500 0.901 B
0.500 0.801 0.250 B
0.500 0.801 0.750 B
0.801 0.500 0.250 B
0.801 0.500 0.750 B
```

Principal peaks in the range 2θ from 5° to 70°, sorted by position:
2θ (°)  d (Å)  intensity
21.69  4.097  70
30.87  2.897  100
38.04  2.365  42
44.21  2.048  21
49.76  1.832  50
54.89  1.673  28
64.31  1.448  10
68.74  1.366  28

***

# DyTc3B3
Theoretical X-ray powder pattern, CuKα. Input: a structure optimized by DFT (PBE).
Lines closer than 0.1° are merged.

Atomic structure:
```
DyTc3B3
1.0
8.057 0.000 0.000
-4.028 6.977 0.000
0.000 0.000 3.112
Dy Tc B
2 6 6
direct
0.333 0.667 0.250 Dy
0.667 0.333 0.750 Dy
0.068 0.308 0.750 Tc
0.240 0.932 0.750 Tc
0.308 0.240 0.250 Tc
0.692 0.760 0.750 Tc
0.760 0.068 0.250 Tc
0.932 0.692 0.250 Tc
0.038 0.570 0.750 B
0.430 0.468 0.750 B
0.468 0.038 0.250 B
0.532 0.962 0.750 B
0.570 0.532 0.250 B
0.962 0.430 0.250 B
```

Principal peaks in the range 2θ from 5° to 70°, sorted by position:
2θ (°)  d (Å)  intensity
25.53  3.489  35
33.99  2.637  24
36.48  2.463  32
38.76  2.323  100
45.04  2.013  37
46.95  1.935  20
60.86  1.522  11
65.58  1.423  24

***

# DyTcB14
Theoretical X-ray powder pattern, CuKα. Input: a structure optimized by DFT (PBE).
Lines closer than 0.1° are merged.

Atomic structure:
```
DyTcB14
1.0
-2.942 5.393 4.111
2.942 -5.393 4.111
2.942 5.393 -4.111
Dy Tc B
2 2 28
direct
0.376 0.126 0.250 Dy
0.624 0.874 0.750 Dy
0.000 0.000 0.500 Tc
0.000 0.500 0.000 Tc
0.008 0.130 0.878 B
0.030 0.206 0.333 B
0.030 0.698 0.824 B
0.087 0.670 0.417 B
0.203 0.535 0.667 B
0.225 0.500 0.402 B
0.225 0.823 0.725 B
0.247 0.330 0.917 B
0.248 0.870 0.378 B
0.368 0.535 0.833 B
0.373 0.206 0.676 B
0.373 0.698 0.167 B
0.402 0.177 0.902 B
0.402 0.500 0.225 B
0.598 0.500 0.775 B
0.598 0.823 0.098 B
0.627 0.302 0.833 B
0.627 0.794 0.324 B
0.632 0.465 0.167 B
0.752 0.130 0.622 B
0.753 0.670 0.083 B
0.775 0.177 0.275 B
0.775 0.500 0.598 B
0.797 0.465 0.333 B
0.913 0.330 0.583 B
0.970 0.302 0.176 B
0.970 0.794 0.667 B
0.992 0.870 0.122 B
```

Principal peaks in the range 2θ from 5° to 70°, sorted by position:
2θ (°)  d (Å)  intensity
16.44  5.393  100
24.88  3.579  46
27.74  3.216  53
33.40  2.683  66
33.75  2.656  33
36.55  2.459  38
41.14  2.194  51
41.43  2.180  26

***

# Dy2TcB10
Theoretical X-ray powder pattern, CuKα. Input: a structure optimized by DFT (PBE).
Lines closer than 0.1° are merged.

Atomic structure:
```
Dy2TcB10
1.0
5.742 0.000 0.000
0.000 11.413 0.000
0.000 0.000 4.159
Dy Tc B
4 2 20
direct
0.223 0.132 0.000 Dy
0.277 0.632 0.000 Dy
0.723 0.368 0.000 Dy
0.777 0.868 0.000 Dy
0.000 0.500 0.500 Tc
0.500 0.000 0.500 Tc
0.063 0.307 0.500 B
0.120 0.959 0.500 B
0.128 0.802 0.500 B
0.227 0.381 0.200 B
0.227 0.381 0.800 B
0.273 0.881 0.200 B
0.273 0.881 0.800 B
0.372 0.302 0.500 B
0.380 0.459 0.500 B
0.437 0.807 0.500 B
0.563 0.193 0.500 B
0.620 0.541 0.500 B
0.628 0.698 0.500 B
0.727 0.119 0.200 B
0.727 0.119 0.800 B
0.773 0.619 0.200 B
0.773 0.619 0.800 B
0.872 0.198 0.500 B
0.880 0.041 0.500 B
0.937 0.693 0.500 B
```

Principal peaks in the range 2θ from 5° to 70°, sorted by position:
2θ (°)  d (Å)  intensity
21.96  4.047  73
27.61  3.231  21
30.83  2.901  100
38.09  2.363  49
38.25  2.353  52
43.52  2.080  18
44.78  2.024  32
49.26  1.850  27